Computed X-ray powder pattern of Ca3Er3Ge2BO13 for Cu Ka, from a structure optimized by DFT (GGA-PBE).

```
data_Ca3Er3Ge2BO13
_cell_length_a 7.408
_cell_length_b 7.408
_cell_length_c 10.490
_cell_angle_alpha 90.00
_cell_angle_beta 90.00
_cell_angle_gamma 90.00
_space_group_name_H-M_alt 'P n n 2'
_space_group_IT_number 34
_space_group_name_Hall 'P 2 -2n'
loop_
_atom_site_label
_atom_site_type_symbol
_atom_site_fract_x
_atom_site_fract_y
_atom_site_fract_z
Ca1 Ca 0.000 0.000 0.000
Ca2 Ca 0.229 0.230 0.771
Er1 Er 0.000 0.000 0.543
Er2 Er 0.228 0.772 0.770
Ge1 Ge 0.000 0.500 0.015
Ge2 Ge 0.000 0.500 0.516
B1 B 0.000 0.000 0.272
O1 O 0.000 0.000 0.760
O2 O 0.006 0.163 0.357
O3 O 0.009 0.700 0.615
O4 O 0.014 0.694 0.917
O5 O 0.165 0.007 0.193
O6 O 0.196 0.491 0.416
O7 O 0.197 0.487 0.112
```

Peak list (6 most intense, 2θ = 10–90°, by angle)
2theta	intensity	hkl
18.94	34	1 1 1
29.52	100	2 0 2
34.22	39	2 2 0
44.94	21	0 3 3
49.18	46	2 2 4
58.41	38	2 4 2